Starting from a cell relaxed with GGA-PBE, the X-ray powder pattern of Pu7Sb3H2 was computed for Cu Ka.

Largest 10 diffraction maxima, sorted by position, 2θ from 15° to 90°:
| Position (°2θ) | I_rel |
| --- | --- |
| 27.78 | 100 |
| 29.53 | 41 |
| 32.90 | 81 |
| 34.67 | 85 |
| 38.75 | 38 |
| 40.72 | 61 |
| 42.14 | 37 |
| 42.93 | 41 |
| 49.25 | 36 |
| 55.24 | 38 |

Crystal structure
```
12
Lattice="6.185 0.000 0.000 0.000 3.326 0.000 -0.466 0.000 12.350" Properties=species:S:1:pos:R:3 pbc="T T T"
Pu 0.000 0.000 0.000
Pu 0.130 1.663 4.747
Pu 1.315 1.663 2.542
Pu 1.842 0.000 5.505
Pu 2.342 1.663 7.321
Pu 4.136 1.663 3.309
Pu 4.881 1.663 6.753
Sb 1.397 0.000 9.776
Sb 3.141 0.000 0.654
Sb 4.332 0.000 9.442
H 0.397 1.663 7.965
H 5.614 1.663 1.447
```

=====

Starting from a cell relaxed with GGA-PBE, the X-ray powder pattern of PuSc2H was computed for Cu Ka.

Largest 10 diffraction maxima, sorted by position, 2θ from 15° to 90°:
| Position (°2θ) | I_rel |
| --- | --- |
| 22.55 | 42 |
| 31.54 | 89 |
| 32.23 | 31 |
| 34.12 | 40 |
| 34.87 | 100 |
| 36.75 | 89 |
| 44.07 | 34 |
| 50.06 | 28 |
| 55.72 | 30 |
| 66.97 | 34 |

Crystal structure
```
4
Lattice="1.650 0.952 7.884 -1.650 0.952 7.884 0.000 -1.905 7.884" Properties=species:S:1:pos:R:3 pbc="T T T"
Pu 0.000 0.000 0.000
Sc 0.000 0.000 5.203
Sc 0.000 0.000 18.450
H 0.000 0.000 11.826
```

=====

Starting from a cell relaxed with GGA-PBE, the X-ray powder pattern of Pu3HSe3 was computed for Cu Ka.

Largest 10 diffraction maxima, sorted by position, 2θ from 15° to 90°:
| Position (°2θ) | I_rel |
| --- | --- |
| 26.76 | 38 |
| 27.46 | 55 |
| 27.87 | 53 |
| 30.51 | 100 |
| 30.86 | 98 |
| 34.64 | 45 |
| 43.95 | 75 |
| 47.07 | 45 |
| 47.37 | 42 |
| 57.58 | 32 |

Crystal structure
```
14
Lattice="7.740 0.000 0.000 0.000 5.795 0.000 -0.972 0.000 7.844" Properties=species:S:1:pos:R:3 pbc="T T T"
Pu 0.352 1.449 2.722
Pu 2.594 4.346 0.705
Pu 2.297 4.346 4.844
Pu 4.471 1.449 3.000
Pu 4.174 1.449 7.139
Pu 6.417 4.346 5.122
H 0.632 4.346 6.444
H 6.137 1.449 1.400
Se 0.373 4.346 2.660
Se 2.561 1.449 0.746
Se 2.295 1.449 4.872
Se 4.474 4.346 2.972
Se 4.208 4.346 7.098
Se 6.395 1.449 5.184
```

=====

Starting from a cell relaxed with GGA-PBE, the X-ray powder pattern of Pu2SiH2 was computed for Cu Ka.

Largest 10 diffraction maxima, sorted by position, 2θ from 15° to 90°:
| Position (°2θ) | I_rel |
| --- | --- |
| 25.29 | 72 |
| 26.61 | 57 |
| 30.79 | 54 |
| 32.21 | 100 |
| 40.25 | 58 |
| 41.14 | 55 |
| 45.15 | 63 |
| 52.66 | 26 |
| 62.25 | 39 |
| 68.69 | 25 |

Crystal structure
```
5
Lattice="1.724 -7.043 0.000 1.724 7.043 0.000 0.000 0.000 2.904" Properties=species:S:1:pos:R:3 pbc="T T T"
Pu 1.724 5.046 0.000
Pu 1.724 -5.046 0.000
Si 1.724 0.000 1.452
H 1.724 2.922 1.452
H 1.724 -2.922 1.452
```

=====

Starting from a cell relaxed with GGA-PBE, the X-ray powder pattern of Pu6Si2H was computed for Cu Ka.

Largest 10 diffraction maxima, sorted by position, 2θ from 15° to 90°:
| Position (°2θ) | I_rel |
| --- | --- |
| 23.70 | 83 |
| 29.55 | 29 |
| 30.53 | 67 |
| 34.66 | 29 |
| 35.07 | 88 |
| 36.83 | 100 |
| 37.55 | 77 |
| 38.26 | 67 |
| 56.32 | 27 |
| 59.97 | 26 |

Crystal structure
```
18
Lattice="8.101 0.000 0.000 0.000 9.081 0.000 0.000 0.000 4.791" Properties=species:S:1:pos:R:3 pbc="T T T"
Pu 0.179 1.321 0.000
Pu 1.375 5.585 2.396
Pu 1.986 8.581 2.396
Pu 2.065 4.040 0.000
Pu 2.676 1.045 0.000
Pu 3.872 5.861 2.396
Pu 4.229 3.219 2.396
Pu 5.425 8.036 0.000
Pu 6.036 5.040 0.000
Pu 6.116 0.500 2.396
Pu 6.726 3.495 2.396
Pu 7.922 7.760 0.000
Si 1.430 2.434 2.396
Si 2.621 6.974 0.000
Si 5.481 2.107 0.000
Si 6.671 6.647 2.396
H 0.000 4.540 0.000
H 4.051 0.000 2.396
```

=====

Starting from a cell relaxed with GGA-PBE, the X-ray powder pattern of Sm4PuH10 was computed for Cu Ka.

Largest 10 diffraction maxima, sorted by position, 2θ from 15° to 90°:
| Position (°2θ) | I_rel |
| --- | --- |
| 28.88 | 100 |
| 33.47 | 49 |
| 48.06 | 38 |
| 57.02 | 34 |
| 57.10 | 11 |
| 59.87 | 10 |
| 77.82 | 9 |
| 80.08 | 8 |
| 80.23 | 8 |
| 89.77 | 10 |

Crystal structure
```
15
Lattice="1.891 1.092 15.488 -1.891 1.092 15.488 0.000 -2.184 15.488" Properties=species:S:1:pos:R:3 pbc="T T T"
Sm 0.000 0.000 4.656
Sm 0.000 0.000 13.938
Sm 0.000 0.000 32.525
Sm 0.000 0.000 41.806
Pu 0.000 0.000 23.231
H 0.000 0.000 2.333
H 0.000 0.000 6.975
H 0.000 0.000 11.613
H 0.000 0.000 16.260
H 0.000 0.000 20.926
H 0.000 0.000 25.537
H 0.000 0.000 30.203
H 0.000 0.000 34.849
H 0.000 0.000 39.488
H 0.000 0.000 44.130
```